Rb2FeIrF6: simulated X-ray powder pattern (Cu Kα X-rays), based on a DFT-relaxed cell (GGA+U, Alexandria).

Structure:
a b c (Å): 6.0711 6.0711 6.0711
angles (deg): 118.67 118.67 92.32
Sites, in units of the cell vectors:
Rb (0.2500, 0.7500, 0.5000)
Rb (0.7500, 0.2500, 0.5000)
Fe (0.0000, 0.0000, 0.0000)
Ir (0.5000, 0.5000, 0.0000)
F (0.2332, 0.2332, 0.4663)
F (0.2332, 0.7668, 0.0000)
F (0.2512, 0.2512, 0.0000)
F (0.7488, 0.7488, 0.0000)
F (0.7668, 0.2332, 0.0000)
F (0.7668, 0.7668, 0.5337)

Main lines, sorted by position (5° ≤ 2θ ≤ 70°):
2θ = 17.79°, I 32
2θ = 28.83°, I 53
2θ = 29.45°, I 100
2θ = 34.08°, I 18
2θ = 41.23°, I 39
2θ = 51.48°, I 42
2θ = 52.62°, I 20
2θ = 61.11°, I 23